(1)
Structure and calculated powder diffraction line list of LaMg (a structure optimized by DFT (GGA-PBE); Cu Kα X-rays).

Atomic structure:
```
LaMg
1.0
6.268 -1.824 0.000
6.268 1.824 0.000
-2.460 0.000 8.017
La Mg
3 3
direct
0.000 0.000 0.000
0.341 0.341 0.645
0.637 0.637 0.749
0.293 0.293 0.107
0.678 0.678 0.325
0.965 0.965 0.391
```

Largest 10 diffraction maxima, in order of rising 2θ, 2θ = 5–70°:
2theta  intensity
11.0  100
21.0  29
27.0  44
28.6  22
28.8  23
30.2  38
31.6  53
32.5  90
33.3  87
52.8  21

***

(2)
Structure and calculated powder diffraction line list of EuNb2O6 (a structure optimized by DFT (GGA-PBE); Cu Kα X-rays).

Atomic structure:
```
EuNb2O6
1.0
7.811 0.000 0.000
0.000 5.579 0.000
-0.049 0.000 11.304
Eu Nb O
4 8 24
direct
0.250 0.041 0.041
0.250 0.459 0.541
0.750 0.541 0.459
0.750 0.959 0.959
0.010 0.528 0.144
0.010 0.972 0.644
0.480 0.037 0.357
0.480 0.463 0.857
0.520 0.537 0.143
0.520 0.963 0.643
0.990 0.028 0.356
0.990 0.472 0.856
0.037 0.726 0.974
0.037 0.774 0.474
0.054 0.629 0.710
0.054 0.871 0.210
0.247 0.148 0.374
0.247 0.352 0.874
0.252 0.042 0.646
0.252 0.458 0.146
0.447 0.629 0.709
0.447 0.871 0.209
0.462 0.726 0.974
0.462 0.774 0.474
0.538 0.226 0.526
0.538 0.274 0.026
0.553 0.129 0.791
0.553 0.371 0.291
0.748 0.542 0.854
0.748 0.958 0.354
0.753 0.648 0.126
0.753 0.852 0.626
0.946 0.129 0.790
0.946 0.371 0.290
0.963 0.226 0.526
0.963 0.274 0.026
```

Largest 10 diffraction maxima, in order of rising 2θ, 2θ = 5–70°:
2theta  intensity
15.7  13
27.8  19
28.6  69
29.0  100
30.8  15
32.1  28
42.9  19
46.5  17
55.6  12
57.6  13